Simulated X-ray powder pattern
Compound: KSc2B2S6
Radiation: Cu Kα (λ = 1.5418 Å)
Structure: a GGA-PBE-relaxed structure
Neutral-atom scattering factors, no anomalous dispersion.

a = 6.399 Å, b = 6.567 Å, c = 7.147 Å
α = 112.15°, β = 114.44°, γ = 94.99°
Atoms (fractional coordinates):
K  0.000  0.000  0.000
Sc  0.332  0.684  0.350
Sc  0.668  0.316  0.650
B  0.268  0.272  0.701
B  0.732  0.728  0.299
S  0.136  0.386  0.887
S  0.256  0.378  0.495
S  0.416  0.047  0.721
S  0.584  0.953  0.279
S  0.744  0.622  0.505
S  0.864  0.614  0.113

Top 10 peaks for 2θ = 10–90°, low angle first:
d 5.803, 15.3 deg, I = 25.1
d 5.582, 15.9 deg, I = 98.0
d 3.404, 26.2 deg, I = 69.6
d 3.299, 27.0 deg, I = 31.1
d 3.266, 27.3 deg, I = 32.9
d 2.857, 31.3 deg, I = 65.4
d 2.704, 33.1 deg, I = 100.0
d 2.522, 35.6 deg, I = 66.5
d 2.176, 41.5 deg, I = 33.5
d 1.971, 46.0 deg, I = 25.0

=====

Simulated X-ray powder pattern
Compound: ZnBiBr5
Radiation: Cu Kα (λ = 1.5418 Å)
Structure: a GGA-PBE-relaxed structure
Neutral-atom scattering factors, no anomalous dispersion.

a = 7.536 Å, b = 7.536 Å, c = 10.703 Å
α = 110.60°, β = 110.60°, γ = 88.61°
Atoms (fractional coordinates):
Zn  0.127  0.873  0.750
Zn  0.873  0.127  0.250
Bi  0.000  0.500  0.000
Bi  0.500  0.000  0.500
Br  0.160  0.197  0.462
Br  0.178  0.599  0.831
Br  0.197  0.160  0.962
Br  0.346  0.654  0.250
Br  0.401  0.822  0.669
Br  0.599  0.178  0.331
Br  0.654  0.346  0.750
Br  0.803  0.840  0.038
Br  0.822  0.401  0.169
Br  0.840  0.803  0.538

Top 10 peaks for 2θ = 10–90°, low angle first:
d 6.965, 12.7 deg, I = 46.6
d 5.264, 16.8 deg, I = 27.0
d 4.817, 18.4 deg, I = 100.0
d 4.641, 19.1 deg, I = 67.8
d 3.284, 27.2 deg, I = 33.9
d 2.967, 30.1 deg, I = 33.7
d 2.945, 30.3 deg, I = 32.2
d 2.709, 33.1 deg, I = 32.2
d 2.320, 38.8 deg, I = 44.1
d 2.294, 39.3 deg, I = 47.5

=====

Simulated X-ray powder pattern
Compound: Pm12TmSn7
Radiation: Cu Kα (λ = 1.5418 Å)
Structure: a GGA-PBE-relaxed structure
Neutral-atom scattering factors, no anomalous dispersion.

a = 9.505 Å, b = 9.505 Å, c = 9.505 Å
α = 110.75°, β = 110.75°, γ = 110.75°
Atoms (fractional coordinates):
Pm  0.000  0.274  0.726
Pm  0.000  0.726  0.274
Pm  0.164  0.496  0.496
Pm  0.274  0.000  0.726
Pm  0.274  0.726  0.000
Pm  0.496  0.164  0.496
Pm  0.496  0.496  0.164
Pm  0.504  0.504  0.836
Pm  0.504  0.836  0.504
Pm  0.726  0.000  0.274
Pm  0.726  0.274  0.000
Pm  0.836  0.504  0.504
Tm  0.000  0.000  0.000
Sn  0.136  0.136  0.443
Sn  0.136  0.443  0.136
Sn  0.443  0.136  0.136
Sn  0.500  0.500  0.500
Sn  0.557  0.864  0.864
Sn  0.864  0.557  0.864
Sn  0.864  0.864  0.557

Top 10 peaks for 2θ = 10–90°, low angle first:
d 3.716, 23.9 deg, I = 18.1
d 3.165, 28.2 deg, I = 56.3
d 2.962, 30.2 deg, I = 18.8
d 2.934, 30.5 deg, I = 20.1
d 2.869, 31.2 deg, I = 100.0
d 2.607, 34.4 deg, I = 76.4
d 2.477, 36.3 deg, I = 61.5
d 1.796, 50.8 deg, I = 22.0
d 1.774, 51.5 deg, I = 31.7
d 1.479, 62.8 deg, I = 22.8

=====

Simulated X-ray powder pattern
Compound: Mn2Pt
Radiation: Cu Kα (λ = 1.5418 Å)
Structure: a GGA-PBE-relaxed structure
Neutral-atom scattering factors, no anomalous dispersion.

a = 4.270 Å, b = 4.270 Å, c = 4.270 Å
α = 60.00°, β = 60.00°, γ = 60.00°
Atoms (fractional coordinates):
Mn  0.250  0.250  0.250
Mn  0.750  0.750  0.750
Pt  0.000  0.000  0.000

Top 10 peaks for 2θ = 10–90°, low angle first:
d 3.486, 25.6 deg, I = 100.0
d 3.019, 29.6 deg, I = 8.4
d 2.135, 42.3 deg, I = 98.9
d 1.821, 50.1 deg, I = 49.3
d 1.743, 52.5 deg, I = 2.8
d 1.510, 61.4 deg, I = 16.0
d 1.385, 67.6 deg, I = 20.3
d 1.350, 69.6 deg, I = 4.1
d 1.233, 77.4 deg, I = 32.1
d 1.162, 83.1 deg, I = 15.7